No. 1
Theoretical XRD peak list
Compound: Sr2ZnIn
Radiation: λ = 1.5418 Å (Cu Kα)
Structure: DFT lattice parameters and positions (PBE)
Lines closer than 0.1° are merged.

Atomic structure:
Cell lengths 5.671, 5.671, 5.671 Å; angles 60.00, 60.00, 60.00 degrees
Sites, in units of the cell vectors:
Sr 0.250 0.250 0.250
Sr 0.750 0.750 0.750
Zn 0.000 0.000 0.000
In 0.500 0.500 0.500

The 10 most intense peaks (10° ≤ 2θ ≤ 90°), low angle first:
2θ/deg	d_spacing	I_rel
19.17	4.631	4
31.55	2.836	100
37.18	2.418	2
45.22	2.005	18
49.54	1.840	1
56.18	1.637	37
59.93	1.544	1
65.87	1.418	11
74.88	1.268	16
83.51	1.158	4

=====

No. 2
Theoretical XRD peak list
Compound: CuHClO
Radiation: λ = 1.5418 Å (Cu Kα)
Structure: DFT lattice parameters and positions (PBE)
Lines closer than 0.1° are merged.

Atomic structure:
Cell lengths 6.009, 6.827, 5.674 Å; angles 90.00, 114.38, 90.00 degrees
Sites, in units of the cell vectors:
Cu 0.011 0.121 0.271
Cu 0.011 0.379 0.771
Cu 0.989 0.621 0.229
Cu 0.989 0.879 0.729
H 0.301 0.641 0.006
H 0.301 0.859 0.506
H 0.699 0.141 0.494
H 0.699 0.359 0.994
Cl 0.316 0.093 0.130
Cl 0.316 0.407 0.630
Cl 0.684 0.593 0.370
Cl 0.684 0.907 0.870
O 0.122 0.639 0.945
O 0.122 0.861 0.445
O 0.878 0.139 0.555
O 0.878 0.361 0.055

The 10 most intense peaks (10° ≤ 2θ ≤ 90°), low angle first:
2θ/deg	d_spacing	I_rel
16.20	5.473	100
31.17	2.869	22
31.41	2.848	70
32.75	2.734	13
36.68	2.450	32
38.82	2.320	38
40.17	2.245	14
47.70	1.906	13
53.10	1.725	16
56.85	1.620	18